Pr2Zn3NiPt4: theoretical powder diffraction line list (Cu Kα (weighted mean of Kα1 and Kα2)), based on a PBE-relaxed structure.

Largest 10 diffraction maxima, in order of rising 2θ, 10 to 90 degrees two-theta:
two_theta	I_rel
31.7	26
32.5	46
34.7	100
43.8	59
45.1	33
46.5	33
55.6	20
63.7	19
65.8	23
74.7	21

Crystal structure
a b c (Å): 4.130 4.130 11.080
angles (deg): 90.00 90.00 90.00
Element x y z (fractional)
Pr (0.000, 0.500, 0.246)
Pr (0.500, 0.000, 0.754)
Zn (0.000, 0.000, 0.000)
Zn (0.000, 0.500, 0.635)
Zn (0.500, 0.000, 0.365)
Ni (0.500, 0.500, 0.000)
Pt (0.000, 0.000, 0.500)
Pt (0.000, 0.500, 0.861)
Pt (0.500, 0.000, 0.139)
Pt (0.500, 0.500, 0.500)